Starting from a cell relaxed with PBE, the PXRD pattern of HoAsS was calculated for Cu Kα.

Most intense lines, 10° ≤ 2θ ≤ 90°, low angle first:
2theta  I/Imax
25.57  95
31.64  37
33.16  19
34.85  50
39.56  100
47.49  19

Cell: 3.8126 3.8292 8.4837 Å, 90.00 90.00 90.00°
Space group Pmmn (No. 59, origin choice 2)
Symmetry-distinct sites (fractional):
Ho 0.2500 0.2500 0.2085
As 0.2500 0.7500 0.4965
S 0.2500 0.2500 0.8740